[1]
Structure and simulated XRD peak list of Li3Zr2 (a crystal structure in Alexandria, relaxed with PBE; Cu Kα (λ = 1.5418 Å)).

Lattice parameters (Å, degrees): 7.556 5.705 8.686 59.10 40.38 80.52
Fractional positions:
Li 0.000 0.000 0.000
Li 0.250 0.250 0.250
Li 0.371 0.522 0.443
Li 0.522 0.371 0.664
Li 0.586 0.807 0.728
Li 0.807 0.586 0.879
Zr 0.127 0.754 0.285
Zr 0.416 0.965 0.496
Zr 0.754 0.127 0.834
Zr 0.965 0.416 0.123

Most intense lines, 10° ≤ 2θ ≤ 90°, by intensity:
| two_theta | I (rel.) |
| --- | --- |
| 21.64 | 100 |
| 26.75 | 47 |
| 37.07 | 44 |
| 38.20 | 40 |
| 36.03 | 29 |
| 45.22 | 22 |
| 35.59 | 21 |
| 36.91 | 20 |
| 51.55 | 15 |
| 19.86 | 15 |

=====

[2]
Structure and simulated XRD peak list of Ba4Mg3 (a crystal structure in Alexandria, relaxed with PBE; Cu Kα (λ = 1.5418 Å)).

Lattice parameters (Å, degrees): 17.487 17.487 17.487 165.86 165.86 20.05
Fractional positions:
Ba 0.063 0.063 0.000
Ba 0.335 0.335 0.000
Ba 0.665 0.665 0.000
Ba 0.937 0.937 0.000
Mg 0.229 0.229 0.000
Mg 0.500 0.500 0.000
Mg 0.771 0.771 0.000

Most intense lines, 10° ≤ 2θ ≤ 90°, by intensity:
| two_theta | I (rel.) |
| --- | --- |
| 27.53 | 100 |
| 22.05 | 79 |
| 29.33 | 72 |
| 50.93 | 36 |
| 24.38 | 31 |
| 41.97 | 27 |
| 20.63 | 24 |
| 36.13 | 24 |
| 44.73 | 23 |
| 47.90 | 20 |

=====

[3]
Structure and simulated XRD peak list of K2Cd5Au4 (a crystal structure in Alexandria, relaxed with PBE; Cu Kα (λ = 1.5418 Å)).

Lattice parameters (Å, degrees): 10.197 9.184 6.249 80.26 62.58 37.16
Fractional positions:
K 0.143 0.143 0.857
K 0.857 0.857 0.143
Cd 0.000 0.000 0.500
Cd 0.250 0.250 0.250
Cd 0.500 0.500 0.000
Cd 0.500 0.500 0.500
Cd 0.750 0.750 0.750
Au 0.223 0.513 0.487
Au 0.487 0.777 0.223
Au 0.513 0.223 0.777
Au 0.777 0.487 0.513

Most intense lines, 10° ≤ 2θ ≤ 90°, by intensity:
| two_theta | I (rel.) |
| --- | --- |
| 39.30 | 100 |
| 17.20 | 98 |
| 32.61 | 81 |
| 35.53 | 80 |
| 16.36 | 38 |
| 29.04 | 34 |
| 41.82 | 33 |
| 44.32 | 28 |
| 38.86 | 24 |
| 53.31 | 20 |

=====

[4]
Structure and simulated XRD peak list of Th8Ge3CSe4 (a crystal structure in Alexandria, relaxed with PBE; Cu Kα (λ = 1.5418 Å)).

Lattice parameters (Å, degrees): 8.458 8.458 8.458 59.61 59.61 59.61
Fractional positions:
Th 0.247 0.247 0.247
Th 0.269 0.726 0.726
Th 0.274 0.274 0.731
Th 0.274 0.731 0.274
Th 0.726 0.269 0.726
Th 0.726 0.726 0.269
Th 0.731 0.274 0.274
Th 0.753 0.753 0.753
Ge 0.000 0.000 0.500
Ge 0.000 0.500 0.000
Ge 0.500 0.000 0.000
C 0.500 0.500 0.500
Se 0.000 0.000 0.000
Se 0.000 0.500 0.500
Se 0.500 0.000 0.500
Se 0.500 0.500 0.000

Most intense lines, 10° ≤ 2θ ≤ 90°, by intensity:
| two_theta | I (rel.) |
| --- | --- |
| 29.97 | 100 |
| 25.93 | 38 |
| 43.03 | 36 |
| 42.76 | 35 |
| 53.32 | 18 |
| 70.84 | 14 |
| 70.45 | 12 |
| 25.72 | 12 |
| 62.28 | 10 |
| 50.81 | 10 |

=====

[5]
Structure and simulated XRD peak list of Pr4DyHo6 (a crystal structure in Alexandria, relaxed with PBE; Cu Kα (λ = 1.5418 Å)).

Lattice parameters (Å, degrees): 8.553 8.553 8.553 126.43 126.43 79.19
Fractional positions:
Pr 0.246 0.246 0.646
Pr 0.400 0.754 0.000
Pr 0.600 0.600 0.354
Pr 0.754 0.400 0.000
Dy 0.000 0.000 0.000
Ho 0.000 0.500 0.500
Ho 0.058 0.577 0.000
Ho 0.423 0.423 0.481
Ho 0.500 0.000 0.500
Ho 0.577 0.058 0.000
Ho 0.942 0.942 0.519

Most intense lines, 10° ≤ 2θ ≤ 90°, by intensity:
| two_theta | I (rel.) |
| --- | --- |
| 26.77 | 100 |
| 31.73 | 95 |
| 32.86 | 65 |
| 55.07 | 35 |
| 46.33 | 30 |
| 35.61 | 28 |
| 35.85 | 28 |
| 33.03 | 27 |
| 61.17 | 23 |
| 23.07 | 23 |

=====

[6]
Structure and simulated XRD peak list of Ho4PdRh2 (a crystal structure in Alexandria, relaxed with PBE; Cu Kα (λ = 1.5418 Å)).

Lattice parameters (Å, degrees): 4.834 4.834 6.857 90.00 90.00 90.00
Fractional positions:
Ho 0.000 0.500 0.249
Ho 0.000 0.500 0.751
Ho 0.500 0.000 0.249
Ho 0.500 0.000 0.751
Pd 0.000 0.000 0.500
Rh 0.000 0.000 0.000
Rh 0.500 0.500 0.500

Most intense lines, 10° ≤ 2θ ≤ 90°, by intensity:
| two_theta | I (rel.) |
| --- | --- |
| 37.16 | 100 |
| 67.03 | 24 |
| 26.04 | 14 |
| 66.92 | 12 |
| 53.62 | 12 |
| 79.13 | 7 |
| 53.45 | 6 |
| 45.94 | 4 |
| 60.55 | 4 |
| 79.27 | 4 |